# 1
Dy2YEr2Lu2Ni2Te2: computed powder diffraction line list (Cu Ka), based on DFT lattice parameters and positions (GGA-PBE).

Peak list (10 most intense, 2θ from 10° to 80°, by angle)
- 3.553 Å, 25.07 deg, intensity 24.1
- 2.930 Å, 30.51 deg, intensity 43.0
- 2.704 Å, 33.13 deg, intensity 79.8
- 2.619 Å, 34.23 deg, intensity 100.0
- 2.584 Å, 34.71 deg, intensity 78.2
- 2.443 Å, 36.79 deg, intensity 18.6
- 2.330 Å, 38.64 deg, intensity 20.0
- 1.915 Å, 47.49 deg, intensity 28.3
- 1.778 Å, 51.40 deg, intensity 23.7
- 1.562 Å, 59.14 deg, intensity 37.7

Structure:
```
11
Lattice="-1.9147 7.7541 4.7591 1.9147 -7.7541 4.7591 1.9147 7.7541 -4.7591" Properties=species:S:1:pos:R:3 pbc="T T T"
Dy 0.0000 2.8851 0.0000
Dy 0.0000 12.6230 0.0000
Y 0.0000 7.7541 3.5978
Er 1.9147 -2.0589 2.8284
Er 1.9147 2.0589 2.8284
Lu 1.9147 5.4734 1.4217
Lu 0.0000 2.2807 6.1809
Ni 1.9147 3.6766 -1.8615
Ni 0.0000 4.0774 2.8976
Te 0.0000 0.0000 1.3803
Te 0.0000 7.7541 0.4033
```

# 2
Dy3Lu4Co2Te2: computed powder diffraction line list (Cu Ka), based on DFT lattice parameters and positions (GGA-PBE).

Peak list (10 most intense, 2θ from 10° to 80°, by angle)
- 3.057 Å, 29.22 deg, intensity 25.8
- 2.932 Å, 30.48 deg, intensity 23.1
- 2.906 Å, 30.77 deg, intensity 53.5
- 2.682 Å, 33.41 deg, intensity 88.1
- 2.602 Å, 34.47 deg, intensity 100.0
- 2.567 Å, 34.95 deg, intensity 81.7
- 2.422 Å, 37.12 deg, intensity 25.6
- 1.900 Å, 47.86 deg, intensity 30.5
- 1.768 Å, 51.69 deg, intensity 25.0
- 1.551 Å, 59.63 deg, intensity 33.8

Structure:
```
11
Lattice="-1.9004 7.7133 4.7145 1.9004 -7.7133 4.7145 1.9004 7.7133 -4.7145" Properties=species:S:1:pos:R:3 pbc="T T T"
Dy 0.0000 0.0000 0.0000
Dy 1.9004 5.6291 -0.7359
Dy 0.0000 2.0843 3.9787
Lu 1.9004 2.8747 1.1910
Lu 0.0000 5.4042 2.5928
Lu 0.0000 10.0225 2.5928
Lu 0.0000 4.8386 5.9056
Co 1.9004 -4.0909 4.0704
Co 1.9004 4.0909 4.0704
Te 1.9004 0.0000 2.5040
Te 0.0000 0.0000 6.2925
```

# 3
Rb2LiNdB2O6: computed powder diffraction line list (Cu Ka), based on DFT lattice parameters and positions (GGA-PBE).

Peak list (10 most intense, 2θ from 10° to 80°, by angle)
- 4.111 Å, 21.62 deg, intensity 46.7
- 3.782 Å, 23.53 deg, intensity 78.6
- 3.545 Å, 25.12 deg, intensity 32.3
- 3.486 Å, 25.56 deg, intensity 40.6
- 3.328 Å, 26.79 deg, intensity 30.3
- 2.927 Å, 30.54 deg, intensity 100.0
- 2.899 Å, 30.84 deg, intensity 74.1
- 2.176 Å, 41.50 deg, intensity 38.3
- 2.153 Å, 41.95 deg, intensity 31.4
- 1.958 Å, 46.38 deg, intensity 24.0

Structure:
```
48
Lattice="7.0908 0.0000 0.0000 0.0000 9.6416 0.0000 0.0000 0.0000 10.0913" Properties=species:S:1:pos:R:3 pbc="T T T"
Rb 1.5808 0.8145 0.5553
Rb 1.5808 0.8145 4.4903
Rb 1.5808 4.0063 5.6010
Rb 1.5808 4.0063 9.5360
Rb 5.5100 5.6352 0.5553
Rb 5.5100 5.6352 4.4903
Rb 5.5100 8.8271 5.6010
Rb 5.5100 8.8271 9.5360
Li 0.3281 1.4388 7.5685
Li 0.3281 3.3820 2.5228
Li 6.7627 6.2596 7.5685
Li 6.7627 8.2027 2.5228
Nd 2.5822 7.1229 2.5228
Nd 2.5822 7.3394 7.5685
Nd 4.5086 2.3022 2.5228
Nd 4.5086 2.5186 7.5685
B 1.3806 7.2312 0.0000
B 1.3806 7.2312 5.0457
B 2.3969 0.5753 7.5685
B 2.3969 4.2455 2.5228
B 4.6939 5.3961 7.5685
B 4.6939 9.0663 2.5228
B 5.7102 2.4104 0.0000
B 5.7102 2.4104 5.0457
O 0.7306 6.6685 6.1175
O 0.7306 6.6685 9.0195
O 0.7306 7.7938 1.0719
O 0.7306 7.7938 3.9738
O 1.2972 5.0829 2.5228
O 1.2972 9.3795 7.5685
O 2.1970 1.9537 7.5685
O 2.1970 2.8671 2.5228
O 2.7866 7.2312 0.0000
O 2.7866 7.2312 5.0457
O 3.4103 4.8669 7.5685
O 3.4103 9.5955 2.5228
O 3.6805 0.0461 7.5685
O 3.6805 4.7747 2.5228
O 4.3042 2.4104 0.0000
O 4.3042 2.4104 5.0457
O 4.8938 6.7744 7.5685
O 4.8938 7.6879 2.5228
O 5.7936 0.2621 2.5228
O 5.7936 4.5587 7.5685
O 6.3602 1.8477 6.1175
O 6.3602 1.8477 9.0195
O 6.3602 2.9730 1.0719
O 6.3602 2.9730 3.9738
```